For Sc8Ga2Re, a PBE-relaxed structure gives the simulated powder X-ray diffraction pattern in this record (CuKα).
Lines closer than 0.1° are merged.

Crystal structure
a = 4.6494 Å, b = 7.5892 Å, c = 13.1327 Å
α = 90.00°, β = 90.00°, γ = 90.00°
Space group Immm (No. 71)
Asymmetric unit:
1 Sc 0.0000 0.0000 0.1293 (multiplicity 4)
2 Sc 0.0000 0.2233 0.3492 (multiplicity 8)
3 Sc 0.0000 0.3143 0.0000 (multiplicity 4)
4 Ga 0.0000 0.5000 0.1939 (multiplicity 4)
5 Re 0.0000 0.5000 0.5000 (multiplicity 2)

Principal peaks in the range 2θ from 15° to 90°, by angle:
two_theta	d/Å	I/Imax	h k l
22.4	3.965	29	1 1 0
23.5	3.793	32	0 1 3
35.5	2.529	38	1 1 4
36.2	2.484	21	0 3 1
36.8	2.441	100	1 2 3
38.7	2.325	28	2 0 0
41.2	2.190	24	0 0 6
68.9	1.363	15	3 2 3


For Th2Zr2Sc5, a PBE-relaxed structure gives the simulated powder X-ray diffraction pattern in this record (CuKα).
Lines closer than 0.1° are merged.

Crystal structure
a = 5.6316 Å, b = 8.7753 Å, c = 9.9816 Å
α = 71.26°, β = 84.22°, γ = 78.35°
Space group P1 (No. 1)
Asymmetric unit:
1 Th 0.0000 0.0000 0.0000 (multiplicity 1)
2 Th 0.1119 0.7738 0.7724 (multiplicity 1)
3 Th 0.2252 0.5476 0.5466 (multiplicity 1)
4 Th 0.8883 0.2262 0.2255 (multiplicity 1)
5 Zr 0.4495 0.1066 0.1056 (multiplicity 1)
6 Zr 0.5569 0.8860 0.8860 (multiplicity 1)
7 Zr 0.6642 0.6673 0.6664 (multiplicity 1)
8 Zr 0.7731 0.4487 0.4445 (multiplicity 1)
9 Sc 0.0573 0.3865 0.8860 (multiplicity 1)
10 Sc 0.1683 0.1632 0.6621 (multiplicity 1)
11 Sc 0.2830 0.9399 0.4358 (multiplicity 1)
12 Sc 0.3387 0.3273 0.3285 (multiplicity 1)
13 Sc 0.3935 0.7214 0.2151 (multiplicity 1)
14 Sc 0.5040 0.4964 0.9936 (multiplicity 1)
15 Sc 0.6128 0.2783 0.7754 (multiplicity 1)
16 Sc 0.7254 0.0545 0.5569 (multiplicity 1)
17 Sc 0.8321 0.8309 0.3358 (multiplicity 1)
18 Sc 0.9412 0.6110 0.1117 (multiplicity 1)

Principal peaks in the range 2θ from 15° to 90°, by angle:
two_theta	d/Å	I/Imax	h k l
16.4	5.410	74	0 1 -1
31.6	2.830	31	1 2 3
33.2	2.702	100	0 2 -2
33.2	2.697	50	1 3 2
33.5	2.673	49	2 0 1
38.2	2.355	34	-1 3 1
38.3	2.349	33	1 1 4
39.2	2.296	32	2 2 -1


For Tm5TlTc, a PBE-relaxed structure gives the simulated powder X-ray diffraction pattern in this record (CuKα).
Lines closer than 0.1° are merged.

Crystal structure
a = 9.1362 Å, b = 7.3621 Å, c = 11.7642 Å
α = 90.00°, β = 106.05°, γ = 90.00°
Space group C2/c (No. 15)
Asymmetric unit:
1 Tm 0.0000 0.0090 0.2500 (multiplicity 4)
2 Tm 0.1254 0.3313 0.0640 (multiplicity 8)
3 Tm 0.2482 0.1684 0.6245 (multiplicity 8)
4 Tl 0.0000 0.4037 0.7500 (multiplicity 4)
5 Tc 0.0000 0.0000 0.0000 (multiplicity 4)

Principal peaks in the range 2θ from 15° to 90°, by angle:
two_theta	d/Å	I/Imax	h k l
29.0	3.081	42	2 0 2
30.8	2.904	58	1 1 3
31.3	2.859	78	2 2 -1
31.7	2.821	44	2 2 0
31.8	2.814	54	3 1 -1
32.6	2.747	100	2 0 -4
34.0	2.633	65	0 2 3
40.3	2.240	40	0 2 4


For Nd5Cu5O13, a PBE-relaxed structure gives the simulated powder X-ray diffraction pattern in this record (CuKα).
Lines closer than 0.1° are merged.

Crystal structure
a = 8.4744 Å, b = 8.4744 Å, c = 3.8380 Å
α = 90.00°, β = 90.00°, γ = 90.00°
Space group P4/m (No. 83)
Asymmetric unit:
1 Nd 0.0000 0.0000 0.0000 (multiplicity 1)
2 Nd 0.2380 0.6558 0.0000 (multiplicity 4)
3 Cu 0.0642 0.3394 0.5000 (multiplicity 4)
4 Cu 0.5000 0.5000 0.5000 (multiplicity 1)
5 O 0.0626 0.3175 0.0000 (multiplicity 4)
6 O 0.1144 0.7975 0.5000 (multiplicity 4)
7 O 0.2561 0.4617 0.5000 (multiplicity 4)
8 O 0.5000 0.5000 0.0000 (multiplicity 1)

Principal peaks in the range 2θ from 15° to 90°, by angle:
two_theta	d/Å	I/Imax	h k l
31.4	2.845	17	2 0 1
33.2	2.697	100	2 1 1
33.4	2.680	41	1 3 0
38.1	2.362	19	2 2 1
38.3	2.350	18	2 3 0
47.4	1.919	22	0 0 2
59.6	1.550	21	4 3 1
60.7	1.525	21	5 1 1


Q: Which formula does entry 4 have?
A: Nd5Cu5O13


Q: Number 2 is which compound?
A: Th2Zr2Sc5